The following is a calculated PXRD pattern of AlNiI6. It was derived from the GGA-PBE geometry in OQMD, using Cu Ka.

Peak list (10 most intense, 2θ = 10–80°, low angle first)
2θ (°), I (rel.)
16.3, 212
23.2, 100
28.5, 1000
33.0, 579
37.0, 106
47.3, 413
56.2, 431
58.9, 142
76.4, 174
78.8, 183

Atomic structure:
a = 10.864 Å, b = 10.864 Å, c = 10.864 Å
α = 90.00°, β = 90.00°, γ = 90.00°
Space group F-43m (No. 216)
Asymmetric unit:
Al: 0.000 0.000 0.000 [4 per cell]
Ni: 0.250 0.250 0.750 [4 per cell]
I: 0.000 0.000 0.249 [24 per cell]